Calculated XRD peak list
Compound: Cd2GeOsO6
Radiation: copper Kα
Structure: DFT lattice parameters and positions (PBE)

Atomic structure:
```
data_Cd2GeOsO6
_symmetry_space_group_name_H-M 'P 4 m m'
_symmetry_Int_Tables_number 99
_cell_length_a 5.244
_cell_length_b 5.244
_cell_length_c 4.840
_cell_angle_alpha 90.00
_cell_angle_beta 90.00
_cell_angle_gamma 90.00
loop_
_symmetry_equiv_pos_as_xyz
'x,y,z'
'-y,x,z'
'-x,-y,z'
'y,-x,z'
'-x,y,z'
'y,x,z'
'x,-y,z'
'-y,-x,z'
loop_
_atom_site_label
_atom_site_fract_x
_atom_site_fract_y
_atom_site_fract_z
_atom_site_occupancy
Cd1 0.000 0.500 0.000 1
Ge1 0.000 0.000 0.539 1
Os1 0.500 0.500 0.572 1
O1 0.000 0.000 0.173 1
O2 0.244 0.244 0.673 1
O3 0.500 0.500 0.182 1
```

Largest 10 diffraction maxima, sorted by position, 10° ≤ 2θ ≤ 90°:
d = 5.244 Å, I 11
d = 3.557 Å, I 9
d = 2.944 Å, I 100
d = 2.622 Å, I 36
d = 2.420 Å, I 13
d = 1.854 Å, I 21
d = 1.778 Å, I 22
d = 1.569 Å, I 30
d = 1.479 Å, I 10
d = 1.472 Å, I 11